Starting from a structure optimized by DFT (GGA-PBE), the X-ray diffraction stick pattern of In2CuS4 was calculated for Cu Kα, 1.54184 Å.
No peak broadening, texture or thermal motion is included.

Peak list (10 most intense, 15° ≤ 2θ ≤ 90°, by angle)
d/Å	I_rel
4.891	32
3.168	100
3.074	17
2.377	17
1.949	40
1.923	19
1.677	14
1.644	30
1.264	11
1.115	11

```
In2CuS4
1.0
-2.7195 2.7195 5.5890
2.7195 -2.7195 5.5890
2.7195 2.7195 -5.5890
In Cu S
2 1 4
Direct
0.0000 0.0000 0.0000 In
0.7500 0.2500 0.5000 In
0.5000 0.5000 0.0000 Cu
0.1600 0.6277 0.0416 S
0.3723 0.4139 0.5323 S
0.5861 0.1185 0.9584 S
0.8815 0.8400 0.4677 S
```

Starting from a structure optimized by DFT (GGA-PBE), the X-ray diffraction stick pattern of BaCdP2O7 was calculated for Cu Kα, 1.54184 Å.
No peak broadening, texture or thermal motion is included.

Peak list (10 most intense, 15° ≤ 2θ ≤ 90°, by angle)
d/Å	I_rel
4.486	63
4.248	30
3.438	73
3.115	71
3.090	92
2.997	39
2.973	40
2.843	32
2.822	100
2.241	38

```
BaCdP2O7
1.0
5.6524 0.0000 0.0000
0.3852 7.0184 0.0000
0.0183 1.5195 7.4284
Ba Cd P O
2 2 4 14
Direct
0.2340 0.2358 0.4349 Ba
0.7660 0.7642 0.5651 Ba
0.2152 0.3511 0.9000 Cd
0.7848 0.6489 0.1000 Cd
0.2772 0.8352 0.9025 P
0.2795 0.7312 0.3023 P
0.7205 0.2688 0.6977 P
0.7228 0.1648 0.0975 P
0.0615 0.6071 0.3174 O
0.0836 0.6901 0.8872 O
0.2299 0.0347 0.7861 O
0.2666 0.8759 0.1066 O
0.2740 0.8582 0.4425 O
0.4785 0.2622 0.1216 O
0.4936 0.4008 0.6870 O
0.5064 0.5992 0.3130 O
0.5215 0.7378 0.8784 O
0.7260 0.1418 0.5575 O
0.7334 0.1241 0.8934 O
0.7701 0.9653 0.2139 O
0.9164 0.3099 0.1128 O
0.9385 0.3929 0.6826 O
```

Starting from a structure optimized by DFT (GGA-PBE), the X-ray diffraction stick pattern of U8NiS17 was calculated for Cu Kα, 1.54184 Å.
No peak broadening, texture or thermal motion is included.

Peak list (10 most intense, 15° ≤ 2θ ≤ 90°, by angle)
d/Å	I_rel
4.426	42
3.614	58
3.472	100
3.401	70
3.361	38
3.262	63
3.187	86
2.313	47
2.202	58
2.062	40

```
U8NiS17
1.0
6.5781 -4.1237 0.0000
6.5781 4.1237 0.0000
-2.1169 0.0000 10.0422
U Ni S
8 1 17
Direct
0.1805 0.6963 0.7968 U
0.2022 0.2022 0.9530 U
0.3037 0.8195 0.2032 U
0.3164 0.3164 0.4825 U
0.6836 0.6836 0.5175 U
0.6963 0.1805 0.7968 U
0.7978 0.7978 0.0470 U
0.8195 0.3037 0.2032 U
0.0000 0.0000 0.5000 Ni
0.0000 0.0000 0.0000 S
0.0533 0.0533 0.7231 S
0.0550 0.6762 0.5292 S
0.1809 0.5662 0.0358 S
0.2150 0.2150 0.2202 S
0.2981 0.2981 0.7421 S
0.3238 0.9450 0.4708 S
0.4338 0.8191 0.9642 S
0.4799 0.4799 0.3303 S
0.5201 0.5201 0.6697 S
0.5662 0.1809 0.0358 S
0.6762 0.0550 0.5292 S
0.7019 0.7019 0.2579 S
0.7850 0.7850 0.7798 S
0.8191 0.4338 0.9642 S
0.9450 0.3238 0.4708 S
0.9467 0.9467 0.2769 S
```

Starting from a structure optimized by DFT (GGA-PBE), the X-ray diffraction stick pattern of Lu3FeCo8 was calculated for Cu Kα, 1.54184 Å.
No peak broadening, texture or thermal motion is included.

Peak list (10 most intense, 15° ≤ 2θ ≤ 90°, by angle)
d/Å	I_rel
4.204	19
2.659	56
2.466	62
2.440	46
2.127	43
2.094	100
1.458	19
1.419	16
1.340	22
1.233	22

```
Lu3FeCo8
1.0
2.4658 1.4236 7.9293
-2.4658 1.4236 7.9293
0.0000 -2.8473 7.9293
Lu Fe Co
3 1 8
Direct
0.0000 0.0000 0.0000 Lu
0.1397 0.1397 0.1397 Lu
0.8603 0.8603 0.8603 Lu
0.5000 0.5000 0.5000 Fe
0.0781 0.5845 0.5845 Co
0.3347 0.3347 0.3347 Co
0.4155 0.4155 0.9219 Co
0.4155 0.9219 0.4155 Co
0.5845 0.0781 0.5845 Co
0.5845 0.5845 0.0781 Co
0.6653 0.6653 0.6653 Co
0.9219 0.4155 0.4155 Co
```

Starting from a structure optimized by DFT (GGA-PBE), the X-ray diffraction stick pattern of KRbGaAu3 was calculated for Cu Kα, 1.54184 Å.
No peak broadening, texture or thermal motion is included.

Peak list (10 most intense, 15° ≤ 2θ ≤ 90°, by angle)
d/Å	I_rel
5.309	41
4.740	100
3.070	26
2.729	87
2.655	78
2.593	43
2.370	51
2.233	27
2.047	26
1.535	40

```
KRbGaAu3
1.0
5.6369 0.0000 0.0000
0.0000 6.6761 0.0000
0.0000 0.0000 8.7564
K Rb Ga Au
2 2 2 6
Direct
0.2500 0.0000 0.1234 K
0.7500 0.0000 0.8766 K
0.2500 0.5000 0.3611 Rb
0.7500 0.5000 0.6389 Rb
0.2500 0.5000 0.9311 Ga
0.7500 0.5000 0.0689 Ga
0.0000 0.0000 0.5000 Au
0.2500 0.2165 0.7367 Au
0.2500 0.7835 0.7367 Au
0.5000 0.0000 0.5000 Au
0.7500 0.2165 0.2633 Au
0.7500 0.7835 0.2633 Au
```

Starting from a structure optimized by DFT (GGA-PBE), the X-ray diffraction stick pattern of Al8Co7 was calculated for Cu Kα, 1.54184 Å.
No peak broadening, texture or thermal motion is included.

Peak list (10 most intense, 15° ≤ 2θ ≤ 90°, by angle)
d/Å	I_rel
3.907	24
2.415	48
2.119	69
2.113	18
2.059	20
2.054	69
1.940	100
1.894	72
1.282	23
1.268	17

```
Al8Co7
1.0
8.7366 0.0000 0.0000
0.0000 8.7366 0.0000
0.0000 0.0000 4.8295
Al Co
16 14
Direct
0.0426 0.3631 0.0000 Al
0.1369 0.5426 0.5000 Al
0.1745 0.8255 0.2485 Al
0.1745 0.8255 0.7515 Al
0.3255 0.3255 0.2515 Al
0.3255 0.3255 0.7485 Al
0.3631 0.0426 0.0000 Al
0.4574 0.8631 0.5000 Al
0.5426 0.1369 0.5000 Al
0.6369 0.9574 0.0000 Al
0.6745 0.6745 0.2515 Al
0.6745 0.6745 0.7485 Al
0.8255 0.1745 0.2485 Al
0.8255 0.1745 0.7515 Al
0.8631 0.4574 0.5000 Al
0.9574 0.6369 0.0000 Al
0.0000 0.0000 0.5000 Co
0.0704 0.2643 0.5000 Co
0.0959 0.0959 0.0000 Co
0.2357 0.5704 0.0000 Co
0.2643 0.0704 0.5000 Co
0.4041 0.5959 0.5000 Co
0.4296 0.7643 0.0000 Co
0.5000 0.5000 0.0000 Co
0.5704 0.2357 0.0000 Co
0.5959 0.4041 0.5000 Co
0.7357 0.9296 0.5000 Co
0.7643 0.4296 0.0000 Co
0.9041 0.9041 0.0000 Co
0.9296 0.7357 0.5000 Co
```

Starting from a structure optimized by DFT (GGA-PBE), the X-ray diffraction stick pattern of Sr2CdSbP was calculated for Cu Kα, 1.54184 Å.
No peak broadening, texture or thermal motion is included.

Peak list (10 most intense, 15° ≤ 2θ ≤ 90°, by angle)
d/Å	I_rel
3.228	100
2.949	81
2.903	27
2.709	69
2.645	24
2.540	35
2.262	41
2.253	26
2.126	23
1.689	20

```
Sr2CdSbP
1.0
2.2624 -8.4541 0.0000
2.2624 8.4541 0.0000
0.0000 0.0000 7.9898
Sr Cd Sb P
4 2 2 2
Direct
0.0400 0.9600 0.5000 Sr
0.2172 0.7828 0.8827 Sr
0.7828 0.2172 0.3827 Sr
0.9600 0.0400 0.0000 Sr
0.4020 0.5980 0.6674 Cd
0.5980 0.4020 0.1674 Cd
0.4285 0.5715 0.2971 Sb
0.5715 0.4285 0.7971 Sb
0.1735 0.8265 0.2533 P
0.8265 0.1735 0.7533 P
```

Starting from a structure optimized by DFT (GGA-PBE), the X-ray diffraction stick pattern of GdEr2TmGa2 was calculated for Cu Kα, 1.54184 Å.
No peak broadening, texture or thermal motion is included.

Peak list (10 most intense, 15° ≤ 2θ ≤ 90°, by angle)
d/Å	I_rel
3.676	17
2.636	100
2.565	93
1.838	35
1.494	35
1.481	17
1.380	27
1.282	11
1.153	15
1.098	13

```
GdEr2TmGa2
1.0
5.1291 0.0000 0.0000
-2.5645 4.4419 0.0000
0.0000 0.0000 6.5482
Gd Er Tm Ga
1 2 1 2
Direct
0.0000 0.0000 0.0000 Gd
0.3333 0.6667 0.2535 Er
0.3333 0.6667 0.7465 Er
0.6667 0.3333 0.5000 Tm
0.0000 0.0000 0.5000 Ga
0.6667 0.3333 0.0000 Ga
```

Starting from a structure optimized by DFT (GGA-PBE), the X-ray diffraction stick pattern of Na3Tc2O6 was calculated for Cu Kα, 1.54184 Å.
No peak broadening, texture or thermal motion is included.

Peak list (10 most intense, 15° ≤ 2θ ≤ 90°, by angle)
d/Å	I_rel
5.344	100
4.441	23
3.824	40
3.115	17
2.571	24
2.413	17
2.201	60
2.123	27
1.548	17
1.508	16

```
Na3Tc2O6
1.0
2.6486 -4.3977 0.0000
2.6486 4.3977 0.0000
-1.3103 0.0000 5.3437
Na Tc O
3 2 6
Direct
0.0000 0.0000 0.0000 Na
0.1666 0.8334 0.5000 Na
0.8334 0.1666 0.5000 Na
0.3574 0.6426 0.0000 Tc
0.6426 0.3574 0.0000 Tc
0.0522 0.4294 0.1949 O
0.2951 0.2951 0.7509 O
0.4294 0.0522 0.1949 O
0.5706 0.9478 0.8051 O
0.7049 0.7049 0.2491 O
0.9478 0.5706 0.8051 O
```

Starting from a structure optimized by DFT (GGA-PBE), the X-ray diffraction stick pattern of Ba2FeOsN6 was calculated for Cu Kα, 1.54184 Å.
No peak broadening, texture or thermal motion is included.

Peak list (10 most intense, 15° ≤ 2θ ≤ 90°, by angle)
d/Å	I_rel
4.578	23
2.811	51
2.800	100
2.396	9
1.988	27
1.972	13
1.621	39
1.614	19
1.400	16
1.257	17

```
Ba2FeOsN6
1.0
5.5993 0.0000 0.0000
-0.0449 5.5993 0.0000
-2.7770 -2.7994 3.9758
Ba Fe Os N
2 1 1 6
Direct
0.2500 0.2500 0.0000 Ba
0.7500 0.7500 0.0000 Ba
0.0000 0.5000 0.5000 Fe
0.5000 0.0000 0.5000 Os
0.2447 0.7432 0.4997 N
0.2511 0.2462 0.4989 N
0.2532 0.7522 0.0051 N
0.7468 0.2478 0.9949 N
0.7489 0.7538 0.5011 N
0.7553 0.2568 0.5003 N
```

Starting from a structure optimized by DFT (GGA-PBE), the X-ray diffraction stick pattern of Ta2Al was calculated for Cu Kα, 1.54184 Å.
No peak broadening, texture or thermal motion is included.

Peak list (10 most intense, 15° ≤ 2θ ≤ 90°, by angle)
d/Å	I_rel
4.619	49
2.692	38
2.411	100
2.343	59
2.309	65
2.249	91
2.189	94
2.137	33
1.506	31
1.427	38

```
Ta2Al
1.0
9.9410 0.0000 0.0000
0.0000 9.9410 0.0000
0.0000 0.0000 5.2157
Ta Al
20 10
Direct
0.0358 0.3708 0.0000 Ta
0.1021 0.1021 0.0000 Ta
0.1292 0.5358 0.5000 Ta
0.1815 0.8185 0.2483 Ta
0.1815 0.8185 0.7517 Ta
0.3185 0.3185 0.2517 Ta
0.3185 0.3185 0.7483 Ta
0.3708 0.0358 0.0000 Ta
0.3979 0.6021 0.5000 Ta
0.4642 0.8708 0.5000 Ta
0.5358 0.1292 0.5000 Ta
0.6021 0.3979 0.5000 Ta
0.6292 0.9642 0.0000 Ta
0.6815 0.6815 0.2517 Ta
0.6815 0.6815 0.7483 Ta
0.8185 0.1815 0.2483 Ta
0.8185 0.1815 0.7517 Ta
0.8708 0.4642 0.5000 Ta
0.8979 0.8979 0.0000 Ta
0.9642 0.6292 0.0000 Ta
0.0000 0.0000 0.5000 Al
0.0664 0.2626 0.5000 Al
0.2374 0.5664 0.0000 Al
0.2626 0.0664 0.5000 Al
0.4336 0.7626 0.0000 Al
0.5000 0.5000 0.0000 Al
0.5664 0.2374 0.0000 Al
0.7374 0.9336 0.5000 Al
0.7626 0.4336 0.0000 Al
0.9336 0.7374 0.5000 Al
```

Starting from a structure optimized by DFT (GGA-PBE), the X-ray diffraction stick pattern of ErTm2Ni2B2N3 was calculated for Cu Kα, 1.54184 Å.
No peak broadening, texture or thermal motion is included.

Peak list (10 most intense, 15° ≤ 2θ ≤ 90°, by angle)
d/Å	I_rel
3.042	100
2.595	88
2.486	52
2.420	41
2.352	41
2.176	32
1.712	36
1.492	26
1.429	29
1.410	34

```
ErTm2Ni2B2N3
1.0
-1.7115 1.7115 9.9440
1.7115 -1.7115 9.9440
1.7115 1.7115 -9.9440
Er Tm Ni B N
1 2 2 2 3
Direct
0.0000 0.0000 0.0000 Er
0.3777 0.3777 0.0000 Tm
0.6223 0.6223 0.0000 Tm
0.2500 0.7500 0.5000 Ni
0.7500 0.2500 0.5000 Ni
0.1886 0.1886 0.0000 B
0.8114 0.8114 0.0000 B
0.1154 0.1154 0.0000 N
0.5000 0.5000 0.0000 N
0.8846 0.8846 0.0000 N
```